# 1
Diffraction record for V3Fe2SbP6O24. The X-ray diffraction stick pattern is simulated, not measured: it uses the GGA+U geometry in the Materials Project and Cu Ka.
Kinematic intensities with the Lorentz-polarization factor, no thermal factor.

Principal peaks in the range 10° ≤ 2θ ≤ 90°, by intensity:
2θ (°)	intensity
24.03	100
20.38	99
32.75	72
35.68	42
46.95	35
55.82	31
49.21	27
62.25	21
20.56	19
31.64	18

Crystal structure
```
data_V3Fe2SbP6O24
_chemical_formula_sum 'V3 Fe2 Sb1 P6 O24'
_symmetry_space_group_name_H-M 'P 1'
_symmetry_Int_Tables_number 1
_symmetry_space_group_name_Hall 'P 1'
_cell_length_a 8.6402
_cell_length_b 8.6402
_cell_length_c 8.6402
_cell_angle_alpha 60.59
_cell_angle_beta 60.59
_cell_angle_gamma 60.59
loop_
_atom_site_label
_atom_site_type_symbol
_atom_site_fract_x
_atom_site_fract_y
_atom_site_fract_z
V1 V 0.0000 0.0000 0.0000
V2 V 0.2141 0.2141 0.2141
V3 V 0.4983 0.4983 0.4983
Fe1 Fe 0.3566 0.3566 0.3566
Fe2 Fe 0.8621 0.8621 0.8621
Sb1 Sb 0.7144 0.7144 0.7144
P1 P 0.1091 0.8136 0.3965
P2 P 0.3121 0.6039 0.9010
P3 P 0.3965 0.1091 0.8136
P4 P 0.6039 0.9010 0.3121
P5 P 0.8136 0.3965 0.1091
P6 P 0.9010 0.3121 0.6039
O1 O 0.0407 0.8512 0.2461
O2 O 0.0957 0.3002 0.4471
O3 O 0.1200 0.7664 0.9157
O4 O 0.1652 0.9693 0.3665
O5 O 0.2461 0.0407 0.8512
O6 O 0.2629 0.6162 0.4197
O7 O 0.3002 0.4471 0.0957
O8 O 0.3569 0.5436 0.7427
O9 O 0.3665 0.1652 0.9693
O10 O 0.4197 0.2629 0.6162
O11 O 0.4471 0.0957 0.3002
O12 O 0.4714 0.6693 0.8670
O13 O 0.5436 0.7427 0.3569
O14 O 0.5991 0.9414 0.7989
O15 O 0.6162 0.4197 0.2629
O16 O 0.6693 0.8670 0.4714
O17 O 0.7427 0.3569 0.5436
O18 O 0.7664 0.9157 0.1200
O19 O 0.7989 0.5991 0.9414
O20 O 0.8512 0.2461 0.0407
O21 O 0.8670 0.4714 0.6693
O22 O 0.9157 0.1200 0.7664
O23 O 0.9414 0.7989 0.5991
O24 O 0.9693 0.3665 0.1652
```

=====

# 2
Diffraction record for NiTeO4. The X-ray diffraction stick pattern is simulated, not measured: it uses the GGA+U geometry in the Materials Project and Cu Ka.
Kinematic intensities with the Lorentz-polarization factor, no thermal factor.

Principal peaks in the range 10° ≤ 2θ ≤ 90°, by intensity:
2θ (°)	intensity
17.75	100
41.62	29
34.21	24
60.49	20
34.39	19
41.82	13
35.98	11
35.81	11
63.58	10
55.06	8

Crystal structure
```
data_NiTeO4
_chemical_formula_sum 'Ni2 Te2 O8'
_symmetry_space_group_name_H-M 'P 1'
_symmetry_Int_Tables_number 1
_symmetry_space_group_name_Hall 'P 1'
_cell_length_a 6.1235
_cell_length_b 6.1235
_cell_length_c 6.1235
_cell_angle_alpha 120.08
_cell_angle_beta 119.61
_cell_angle_gamma 90.27
loop_
_atom_site_label
_atom_site_type_symbol
_atom_site_fract_x
_atom_site_fract_y
_atom_site_fract_z
Ni1 Ni 0.5000 0.0000 0.0000
Ni2 Ni 0.5000 0.5000 0.5000
Te1 Te 0.0000 0.0000 0.0000
Te2 Te 0.5000 0.0000 0.5000
O1 O 0.2434 0.2196 0.0237
O2 O 0.2516 0.2207 0.4691
O3 O 0.2516 0.7825 0.0309
O4 O 0.3041 0.7804 0.5237
O5 O 0.6959 0.2196 0.4763
O6 O 0.7484 0.2175 0.9691
O7 O 0.7484 0.7793 0.5309
O8 O 0.7566 0.7804 0.9763
```

=====

# 3
Diffraction record for Li4V2Cr3Ni3O16. The X-ray diffraction stick pattern is simulated, not measured: it uses the GGA+U geometry in the Materials Project and Cu Ka.
Kinematic intensities with the Lorentz-polarization factor, no thermal factor.

Principal peaks in the range 10° ≤ 2θ ≤ 90°, by intensity:
2θ (°)	intensity
19.83	100
18.79	64
36.60	60
63.36	37
45.81	32
45.93	29
36.00	27
25.73	27
33.51	23
61.03	22

Crystal structure
```
data_Li4V2Cr3Ni3O16
_chemical_formula_sum 'Li4 V2 Cr3 Ni3 O16'
_symmetry_space_group_name_H-M 'P 1'
_symmetry_Int_Tables_number 1
_symmetry_space_group_name_Hall 'P 1'
_cell_length_a 5.8743
_cell_length_b 5.8743
_cell_length_c 9.4459
_cell_angle_alpha 90.20
_cell_angle_beta 90.20
_cell_angle_gamma 59.93
loop_
_atom_site_label
_atom_site_type_symbol
_atom_site_fract_x
_atom_site_fract_y
_atom_site_fract_z
Li1 Li 0.0000 0.0000 0.0000
Li2 Li 0.0041 0.0041 0.4919
Li3 Li 0.3420 0.3420 0.0893
Li4 Li 0.6681 0.6681 0.5879
V1 V 0.3393 0.3393 0.4849
V2 V 0.6564 0.6564 0.9944
Cr1 Cr 0.1641 0.6545 0.7676
Cr2 Cr 0.6545 0.1641 0.7676
Cr3 Cr 0.8268 0.8268 0.2578
Ni1 Ni 0.1737 0.1737 0.7792
Ni2 Ni 0.3501 0.8369 0.2770
Ni3 Ni 0.8369 0.3501 0.2770
O1 O 0.0460 0.4910 0.6450
O2 O 0.1769 0.6530 0.3982
O3 O 0.1796 0.1796 0.4059
O4 O 0.3467 0.8280 0.8965
O5 O 0.3516 0.3516 0.8826
O6 O 0.4814 0.4814 0.6446
O7 O 0.4910 0.0460 0.6450
O8 O 0.5306 0.5306 0.1324
O9 O 0.5383 0.9672 0.1352
O10 O 0.6530 0.1769 0.3982
O11 O 0.6867 0.6867 0.3831
O12 O 0.8280 0.3467 0.8965
O13 O 0.8309 0.8309 0.8886
O14 O 0.9672 0.5383 0.1352
O15 O 0.9973 0.9973 0.6861
O16 O 0.9983 0.9983 0.1929
```

=====

# 4
Diffraction record for VCrO3. The X-ray diffraction stick pattern is simulated, not measured: it uses the GGA+U geometry in the Materials Project and Cu Ka.
Kinematic intensities with the Lorentz-polarization factor, no thermal factor.

Principal peaks in the range 10° ≤ 2θ ≤ 90°, by intensity:
2θ (°)	intensity
32.73	100
35.11	85
53.32	78
23.82	55
48.76	42
40.28	29
62.96	27
61.46	23
70.97	16
63.06	14

Crystal structure
```
data_VCrO3
_chemical_formula_sum 'V4 Cr4 O12'
_symmetry_space_group_name_H-M 'P 1'
_symmetry_Int_Tables_number 1
_symmetry_space_group_name_Hall 'P 1'
_cell_length_a 5.1165
_cell_length_b 5.4968
_cell_length_c 7.5062
_cell_angle_alpha 84.22
_cell_angle_beta 89.95
_cell_angle_gamma 89.99
loop_
_atom_site_label
_atom_site_type_symbol
_atom_site_fract_x
_atom_site_fract_y
_atom_site_fract_z
V1 V 0.0000 0.0000 0.0000
V2 V 0.0000 0.4017 0.7013
V3 V 0.4993 0.8996 0.7012
V4 V 0.5009 0.4939 0.4981
Cr1 Cr 0.0009 0.3986 0.1995
Cr2 Cr 0.5013 0.5030 0.0033
Cr3 Cr 0.5007 0.9004 0.2013
Cr4 Cr 0.9994 0.9998 0.4998
O1 O 0.1517 0.0500 0.2514
O2 O 0.1541 0.3548 0.9505
O3 O 0.1955 0.6979 0.5993
O4 O 0.3014 0.1954 0.5987
O5 O 0.3479 0.5507 0.2508
O6 O 0.3519 0.8524 0.9509
O7 O 0.6504 0.5451 0.7533
O8 O 0.6512 0.8494 0.4494
O9 O 0.6979 0.2024 0.1017
O10 O 0.8027 0.7002 0.1020
O11 O 0.8491 0.3481 0.4471
O12 O 0.8516 0.0455 0.7511
```

=====

# 5
Diffraction record for SrLa2Co3O9. The X-ray diffraction stick pattern is simulated, not measured: it uses the GGA+U geometry in the Materials Project and Cu Ka.
Kinematic intensities with the Lorentz-polarization factor, no thermal factor.

Principal peaks in the range 10° ≤ 2θ ≤ 90°, by intensity:
2θ (°)	intensity
32.52	100
32.69	99
47.25	65
32.89	50
32.96	48
58.70	37
46.30	34
40.38	23
68.51	19
68.12	19

Crystal structure
```
data_SrLa2Co3O9
_chemical_formula_sum 'Sr2 La4 Co6 O18'
_symmetry_space_group_name_H-M 'P 1'
_symmetry_Int_Tables_number 1
_symmetry_space_group_name_Hall 'P 1'
_cell_length_a 5.4353
_cell_length_b 5.4786
_cell_length_c 13.4672
_cell_angle_alpha 90.96
_cell_angle_beta 90.04
_cell_angle_gamma 119.71
loop_
_atom_site_label
_atom_site_type_symbol
_atom_site_fract_x
_atom_site_fract_y
_atom_site_fract_z
Sr1 Sr 0.0000 0.0000 0.0000
Sr2 Sr 0.0040 0.9991 0.5004
La1 La 0.3370 0.6703 0.8312
La2 La 0.3378 0.6683 0.3310
La3 La 0.6688 0.3299 0.1682
La4 La 0.6689 0.3316 0.6688
Co1 Co 0.0033 0.0009 0.7502
Co2 Co 0.0038 0.9994 0.2503
Co3 Co 0.3328 0.6660 0.0807
Co4 Co 0.3374 0.6659 0.5805
Co5 Co 0.6664 0.3336 0.9194
Co6 Co 0.6712 0.3321 0.4194
O1 O 0.0080 0.4993 0.5060
O2 O 0.1599 0.8185 0.1694
O3 O 0.1607 0.3241 0.1716
O4 O 0.1696 0.3270 0.6727
O5 O 0.1780 0.8379 0.6760
O6 O 0.3416 0.1802 0.8309
O7 O 0.3448 0.1658 0.3232
O8 O 0.4930 0.5037 0.0030
O9 O 0.4953 0.0000 0.0003
O10 O 0.5050 0.9956 0.4985
O11 O 0.5074 0.4934 0.4968
O12 O 0.6633 0.8337 0.1768
O13 O 0.6649 0.8215 0.6691
O14 O 0.8302 0.1653 0.8248
O15 O 0.8377 0.6750 0.8282
O16 O 0.8471 0.6742 0.3289
O17 O 0.8493 0.1815 0.3318
O18 O 0.9882 0.4969 0.9979
```

=====

# 6
Diffraction record for MgV2Cr4O12. The X-ray diffraction stick pattern is simulated, not measured: it uses the GGA+U geometry in the Materials Project and Cu Ka.
Kinematic intensities with the Lorentz-polarization factor, no thermal factor.

Principal peaks in the range 10° ≤ 2θ ≤ 90°, by intensity:
2θ (°)	intensity
27.70	100
22.45	97
35.68	29
36.06	28
54.33	20
48.36	19
54.60	19
38.15	18
41.95	16
57.20	15

Crystal structure
```
data_MgV2Cr4O12
_chemical_formula_sum 'Mg1 V2 Cr4 O12'
_symmetry_space_group_name_H-M 'P 1'
_symmetry_Int_Tables_number 1
_symmetry_space_group_name_Hall 'P 1'
_cell_length_a 5.1047
_cell_length_b 5.1057
_cell_length_c 8.6795
_cell_angle_alpha 89.16
_cell_angle_beta 89.19
_cell_angle_gamma 78.24
loop_
_atom_site_label
_atom_site_type_symbol
_atom_site_fract_x
_atom_site_fract_y
_atom_site_fract_z
Mg1 Mg 0.0000 0.0000 0.0000
V1 V 0.3115 0.2994 0.3316
V2 V 0.7311 0.7161 0.8103
Cr1 Cr 0.2976 0.2853 0.6540
Cr2 Cr 0.3352 0.3238 0.9884
Cr3 Cr 0.7270 0.7135 0.1813
Cr4 Cr 0.8786 0.8676 0.4917
O1 O 0.0082 0.6100 0.3277
O2 O 0.1280 0.1197 0.4840
O3 O 0.1577 0.1498 0.8331
O4 O 0.1645 0.1591 0.1598
O5 O 0.4615 0.4486 0.4764
O6 O 0.4915 0.4734 0.1650
O7 O 0.5128 0.4953 0.8122
O8 O 0.6166 0.9924 0.3288
O9 O 0.6178 0.9719 0.9819
O10 O 0.6196 0.9817 0.6686
O11 O 0.9878 0.6120 0.9809
O12 O 0.9955 0.6080 0.6673
```

=====

# 7
Diffraction record for MgMn2O4. The X-ray diffraction stick pattern is simulated, not measured: it uses the GGA+U geometry in the Materials Project and Cu Ka.
Kinematic intensities with the Lorentz-polarization factor, no thermal factor.

Principal peaks in the range 10° ≤ 2θ ≤ 90°, by intensity:
2θ (°)	intensity
18.06	100
42.65	76
41.63	48
33.37	30
27.09	27
59.71	25
35.43	19
34.47	17
37.29	17
62.41	16

Crystal structure
```
data_MgMn2O4
_chemical_formula_sum 'Mg1 Mn2 O4'
_symmetry_space_group_name_H-M 'P 1'
_symmetry_Int_Tables_number 1
_symmetry_space_group_name_Hall 'P 1'
_cell_length_a 2.9002
_cell_length_b 5.2311
_cell_length_c 5.4980
_cell_angle_alpha 78.14
_cell_angle_beta 89.99
_cell_angle_gamma 74.02
loop_
_atom_site_label
_atom_site_type_symbol
_atom_site_fract_x
_atom_site_fract_y
_atom_site_fract_z
Mg1 Mg 0.0000 0.0000 0.0000
Mn1 Mn 0.2231 0.5539 0.7347
Mn2 Mn 0.7769 0.4461 0.2653
O1 O 0.1575 0.6850 0.3236
O2 O 0.3803 0.2390 0.1377
O3 O 0.6197 0.7610 0.8623
O4 O 0.8425 0.3150 0.6764
```

=====

# 8
Diffraction record for SrNdHfFeO6. The X-ray diffraction stick pattern is simulated, not measured: it uses the GGA+U geometry in the Materials Project and Cu Ka.
Kinematic intensities with the Lorentz-polarization factor, no thermal factor.

Principal peaks in the range 10° ≤ 2θ ≤ 90°, by intensity:
2θ (°)	intensity
31.37	100
55.84	40
44.95	31
19.06	19
65.45	19
74.38	17
36.96	12
82.93	6
49.24	5
59.55	4

Crystal structure
```
data_SrNdHfFeO6
_chemical_formula_sum 'Sr1 Nd1 Hf1 Fe1 O6'
_symmetry_space_group_name_H-M 'P 1'
_symmetry_Int_Tables_number 1
_symmetry_space_group_name_Hall 'P 1'
_cell_length_a 5.7038
_cell_length_b 5.7038
_cell_length_c 5.7038
_cell_angle_alpha 60.00
_cell_angle_beta 60.00
_cell_angle_gamma 60.00
loop_
_atom_site_label
_atom_site_type_symbol
_atom_site_fract_x
_atom_site_fract_y
_atom_site_fract_z
Sr1 Sr 0.0000 0.0000 0.0000
Nd1 Nd 0.5000 0.5000 0.5000
Hf1 Hf 0.7500 0.7500 0.7500
Fe1 Fe 0.2500 0.2500 0.2500
O1 O 0.0030 0.0030 0.4970
O2 O 0.0030 0.4970 0.0030
O3 O 0.0030 0.4970 0.4970
O4 O 0.4970 0.0030 0.0030
O5 O 0.4970 0.0030 0.4970
O6 O 0.4970 0.4970 0.0030
```

=====

# 9
Diffraction record for Li2Fe7O4F8. The X-ray diffraction stick pattern is simulated, not measured: it uses the GGA+U geometry in the Materials Project and Cu Ka.
Kinematic intensities with the Lorentz-polarization factor, no thermal factor.

Principal peaks in the range 10° ≤ 2θ ≤ 90°, by intensity:
2θ (°)	intensity
30.36	100
19.65	92
11.30	92
59.46	61
31.73	60
39.58	60
59.30	60
39.80	55
32.76	54
32.63	46

Crystal structure
```
data_Li2Fe7O4F8
_chemical_formula_sum 'Li4 Fe14 O8 F16'
_symmetry_space_group_name_H-M 'P 1'
_symmetry_Int_Tables_number 1
_symmetry_space_group_name_Hall 'P 1'
_cell_length_a 11.0867
_cell_length_b 11.0867
_cell_length_c 6.3554
_cell_angle_alpha 106.39
_cell_angle_beta 106.39
_cell_angle_gamma 45.37
loop_
_atom_site_label
_atom_site_type_symbol
_atom_site_fract_x
_atom_site_fract_y
_atom_site_fract_z
Li1 Li 0.0000 0.4998 0.7790
Li2 Li 0.1458 0.8542 0.5000
Li3 Li 0.4998 0.0000 0.2790
Li4 Li 0.8542 0.1458 0.0000
Fe1 Fe 0.0239 0.3116 0.1600
Fe2 Fe 0.1447 0.6992 0.9658
Fe3 Fe 0.3116 0.0239 0.6600
Fe4 Fe 0.3207 0.8546 0.1321
Fe5 Fe 0.3242 0.3480 0.0917
Fe6 Fe 0.3480 0.3242 0.5917
Fe7 Fe 0.5071 0.5222 0.2744
Fe8 Fe 0.5222 0.5071 0.7744
Fe9 Fe 0.6465 0.6764 0.4301
Fe10 Fe 0.6764 0.6465 0.9301
Fe11 Fe 0.6796 0.9788 0.8105
Fe12 Fe 0.6992 0.1447 0.4658
Fe13 Fe 0.8546 0.3207 0.6321
Fe14 Fe 0.9788 0.6796 0.3105
O1 O 0.0925 0.5745 0.0491
O2 O 0.2647 0.7368 0.2334
O3 O 0.4187 0.9270 0.3967
O4 O 0.5745 0.0925 0.5491
O5 O 0.5743 0.6054 0.0930
O6 O 0.6054 0.5743 0.5930
O7 O 0.7368 0.2647 0.7334
O8 O 0.9270 0.4187 0.8967
F1 F 0.0639 0.0986 0.1061
F2 F 0.0986 0.0639 0.6061
F3 F 0.1020 0.5734 0.6055
F4 F 0.2534 0.2676 0.2646
F5 F 0.2676 0.2534 0.7646
F6 F 0.2678 0.7336 0.7768
F7 F 0.4088 0.4220 0.9162
F8 F 0.4220 0.4088 0.4162
F9 F 0.4229 0.9225 0.9517
F10 F 0.5734 0.1020 0.1055
F11 F 0.7336 0.2678 0.2768
F12 F 0.7363 0.7507 0.7604
F13 F 0.7507 0.7363 0.2604
F14 F 0.8933 0.9388 0.9293
F15 F 0.9225 0.4229 0.4517
F16 F 0.9388 0.8933 0.4293
```

=====

# 10
Diffraction record for Sr2MgFeOsO6. The X-ray diffraction stick pattern is simulated, not measured: it uses the GGA+U geometry in the Materials Project and Cu Ka.
Kinematic intensities with the Lorentz-polarization factor, no thermal factor.

Principal peaks in the range 10° ≤ 2θ ≤ 90°, by intensity:
2θ (°)	intensity
30.12	100
33.12	81
18.14	60
55.42	43
45.37	35
61.00	26
41.86	22
28.38	21
77.59	20
53.49	20

Crystal structure
```
data_Sr2MgFeOsO6
_chemical_formula_sum 'Sr2 Mg1 Fe1 Os1 O6'
_symmetry_space_group_name_H-M 'P 1'
_symmetry_Int_Tables_number 1
_symmetry_space_group_name_Hall 'P 1'
_cell_length_a 6.3125
_cell_length_b 6.3125
_cell_length_c 6.3125
_cell_angle_alpha 56.08
_cell_angle_beta 56.08
_cell_angle_gamma 56.08
loop_
_atom_site_label
_atom_site_type_symbol
_atom_site_fract_x
_atom_site_fract_y
_atom_site_fract_z
Sr1 Sr 0.0000 0.0000 0.0000
Sr2 Sr 0.4123 0.4123 0.4123
Mg1 Mg 0.7805 0.7805 0.7805
Fe1 Fe 0.6091 0.6091 0.6091
Os1 Os 0.2048 0.2048 0.2048
O1 O 0.4279 0.9735 0.9735
O2 O 0.4403 0.4403 0.9849
O3 O 0.4403 0.9849 0.4403
O4 O 0.9735 0.4279 0.9735
O5 O 0.9735 0.9735 0.4279
O6 O 0.9849 0.4403 0.4403
```